Record 1
Computed PXRD pattern
Compound: Cu3RhN
Radiation: Cu Kα, 1.54184 Å
Structure: a crystal structure in the Materials Project, relaxed with PBE
No peak broadening, texture or thermal motion is included.

Structure:
Unit cell a=3.8488 b=3.8488 c=3.8488 alpha=90.00 beta=90.00 gamma=90.00
Fractional coordinates of all 5 atoms:
Cu (0.0000, 0.0000, 0.5000)
Cu (0.0000, 0.5000, 0.0000)
Cu (0.5000, 0.0000, 0.0000)
Rh (0.5000, 0.5000, 0.5000)
N (0.0000, 0.0000, 0.0000)

Largest 11 diffraction maxima, sorted by position, 10° ≤ 2θ ≤ 90°:
two_theta	d (Å)	intensity
23.11	3.849	2
32.91	2.721	7
40.60	2.222	100
47.23	1.924	56
53.22	1.721	1
58.77	1.571	3
69.02	1.361	33
73.87	1.283	1
78.60	1.217	1
83.26	1.160	34
87.87	1.111	11


Record 2
Computed PXRD pattern
Compound: ScCu3N3
Radiation: Cu Kα, 1.54184 Å
Structure: a crystal structure in the Materials Project, relaxed with PBE
No peak broadening, texture or thermal motion is included.

Structure:
Unit cell a=4.2551 b=4.2551 c=4.2551 alpha=90.00 beta=90.00 gamma=90.00
Fractional coordinates of all 7 atoms:
Sc (0.0000, 0.0000, 0.0000)
Cu (0.0000, 0.5000, 0.5000)
Cu (0.5000, 0.0000, 0.5000)
Cu (0.5000, 0.5000, 0.0000)
N (0.0000, 0.0000, 0.5000)
N (0.0000, 0.5000, 0.0000)
N (0.5000, 0.0000, 0.0000)

Largest 10 diffraction maxima, sorted by position, 10° ≤ 2θ ≤ 90°:
two_theta	d (Å)	intensity
29.69	3.009	9
36.58	2.457	100
42.49	2.128	90
47.80	1.903	1
52.69	1.737	3
61.65	1.504	53
69.91	1.346	1
73.87	1.283	36
77.75	1.228	16
85.36	1.137	1


Record 3
Computed PXRD pattern
Compound: CuSi2N3
Radiation: Cu Kα, 1.54184 Å
Structure: a crystal structure in the Materials Project, relaxed with PBE
No peak broadening, texture or thermal motion is included.

Structure:
Unit cell a=5.3537 b=5.3537 c=4.9076 alpha=90.00 beta=90.00 gamma=59.82
Fractional coordinates of all 12 atoms:
Cu (0.1303, 0.8697, 0.5000)
Cu (0.8697, 0.1303, 0.0000)
Si (0.1726, 0.4911, 0.9795)
Si (0.4911, 0.1726, 0.4795)
Si (0.5089, 0.8274, 0.9795)
Si (0.8274, 0.5089, 0.4795)
N (0.1603, 0.4414, 0.3355)
N (0.2382, 0.7618, 0.8959)
N (0.4414, 0.1603, 0.8355)
N (0.5586, 0.8397, 0.3355)
N (0.7618, 0.2382, 0.3959)
N (0.8397, 0.5586, 0.8355)

Largest 12 diffraction maxima, sorted by position, 10° ≤ 2θ ≤ 90°:
two_theta	d (Å)	intensity
19.16	4.633	26
33.49	2.676	59
36.62	2.454	37
38.34	2.348	100
41.65	2.169	18
43.23	2.093	16
50.46	1.809	22
59.78	1.547	11
59.97	1.543	19
67.07	1.395	32
72.35	1.306	13
73.31	1.291	15


Record 4
Computed PXRD pattern
Compound: Sr6Cu3N5
Radiation: Cu Kα, 1.54184 Å
Structure: a crystal structure in the Materials Project, relaxed with PBE
No peak broadening, texture or thermal motion is included.

Structure:
Unit cell a=8.6948 b=8.6948 c=7.3636 alpha=90.00 beta=90.00 gamma=90.00
Fractional coordinates of all 28 atoms:
Sr (0.0000, 0.0000, 0.0000)
Sr (0.0000, 0.0000, 0.5000)
Sr (0.0000, 0.5000, 0.0189)
Sr (0.2669, 0.3028, 0.7079)
Sr (0.2669, 0.6972, 0.7079)
Sr (0.3028, 0.2669, 0.2079)
Sr (0.3028, 0.7331, 0.2079)
Sr (0.5000, 0.0000, 0.5189)
Sr (0.6972, 0.2669, 0.2079)
Sr (0.6972, 0.7331, 0.2079)
Sr (0.7331, 0.3028, 0.7079)
Sr (0.7331, 0.6972, 0.7079)
Cu (0.0000, 0.3592, 0.4307)
Cu (0.0000, 0.6408, 0.4307)
Cu (0.3592, 0.0000, 0.9307)
Cu (0.5000, 0.5000, 0.4690)
Cu (0.5000, 0.5000, 0.9690)
Cu (0.6408, 0.0000, 0.9307)
N (0.0000, 0.2192, 0.2378)
N (0.0000, 0.5000, 0.6287)
N (0.0000, 0.7808, 0.2378)
N (0.2192, 0.0000, 0.7378)
N (0.2870, 0.5000, 0.9807)
N (0.5000, 0.0000, 0.1287)
N (0.5000, 0.2870, 0.4807)
N (0.5000, 0.7130, 0.4807)
N (0.7130, 0.5000, 0.9807)
N (0.7808, 0.0000, 0.7378)

Largest 12 diffraction maxima, sorted by position, 10° ≤ 2θ ≤ 90°:
two_theta	d (Å)	intensity
23.77	3.744	12
29.05	3.074	39
30.85	2.898	21
31.85	2.810	100
38.12	2.361	11
39.31	2.292	11
41.55	2.174	19
44.93	2.017	18
49.51	1.841	8
53.28	1.719	20
54.17	1.693	11
58.45	1.579	9